[1]
The following is a simulated powder XRD pattern of Y10Cd3Ni. It was derived from a DFT-relaxed cell (GGA-PBE, OQMD), using Cu Kα.

Structure:
Unit cell a=9.6573 b=9.6573 c=9.7162 alpha=90.00 beta=90.00 gamma=120.00
Space group P6_3/mmc (No. 194)
Unique sites:
1 Y 0.0000 0.0000 0.0000
2 Y 0.0883 0.5442 0.2500
3 Y 0.2103 0.4206 0.5631
4 Cd 0.1154 0.2308 0.2500
5 Ni 0.3333 0.6667 0.7500

Largest 6 diffraction maxima, in order of rising 2θ, 2θ = 10–90°:
Position (°2θ)  intensity  (hkl)
29.58  26  1 0 3
33.44  87  3 0 1
33.83  100  2 1 2
35.04  47  2 0 3
57.24  26  3 3 0
57.84  31  3 0 5

***

[2]
The following is a simulated powder XRD pattern of Dy2YHo3Bi2Os. It was derived from a DFT-relaxed cell (GGA-PBE, OQMD), using Cu Kα.

Structure:
Unit cell a=4.2304 b=14.3536 c=8.2852 alpha=90.00 beta=90.00 gamma=90.00
Space group Amm2 (No. 38)
Unique sites:
1 Dy 0.0000 0.1172 0.0000
2 Y 0.0000 0.0000 0.3534
3 Ho 0.5000 0.0000 0.7311
4 Ho 0.5000 0.1934 0.3103
5 Bi 0.0000 0.1667 0.6172
6 Os 0.5000 0.0000 0.1162

Largest 6 diffraction maxima, in order of rising 2θ, 2θ = 10–90°:
Position (°2θ)  intensity  (hkl)
30.19  100  1 0 2
32.73  87  1 4 0
33.03  43  0 4 2
37.60  55  0 3 3
39.47  59  1 5 1
60.33  35  1 1 5

***

[3]
The following is a simulated powder XRD pattern of Rb2AgH6Au. It was derived from a DFT-relaxed cell (GGA-PBE, OQMD), using Cu Kα.

Structure:
Unit cell a=5.8547 b=5.8547 c=8.9696 alpha=90.00 beta=90.00 gamma=90.00
Space group I4/mmm (No. 139)
Unique sites:
1 Rb 0.0000 0.5000 0.2500
2 Ag 0.0000 0.0000 0.0000
3 H 0.0000 0.0000 0.1924
4 H 0.2025 0.2025 0.5000
5 Au 0.0000 0.0000 0.5000

Largest 6 diffraction maxima, in order of rising 2θ, 2θ = 10–90°:
Position (°2θ)  intensity  (hkl)
29.36  100  1 1 2
30.54  45  2 0 0
43.73  17  2 2 0
51.32  21  2 0 4
53.55  37  3 1 2
60.91  13  2 2 4

***

[4]
The following is a simulated powder XRD pattern of Ni2W8C3N3. It was derived from a DFT-relaxed cell (GGA-PBE, OQMD), using Cu Kα.

Structure:
Unit cell a=3.0688 b=3.0688 c=22.6755 alpha=90.00 beta=90.00 gamma=120.00
Space group P-3m1 (No. 164)
Unique sites:
1 Ni 0.3333 0.6667 0.2515
2 W 0.0000 0.0000 0.1624
3 W 0.0000 0.0000 0.3351
4 W 0.3333 0.6667 0.0599
5 W 0.3333 0.6667 0.4428
6 C 0.0000 0.0000 0.0000
7 C 0.3333 0.6667 0.8850
8 N 0.0000 0.0000 0.5000
9 N 0.3333 0.6667 0.6116

Largest 6 diffraction maxima, in order of rising 2θ, 2θ = 10–90°:
Position (°2θ)  intensity  (hkl)
34.67  42  1 0 2
37.37  27  1 0 4
39.29  59  1 0 5
39.75  24  0 0 10
41.54  100  1 0 6
60.32  42  1 1 0

***

[5]
The following is a simulated powder XRD pattern of BaZnHgTe3. It was derived from a DFT-relaxed cell (GGA-PBE, OQMD), using Cu Kα.

Structure:
Unit cell a=4.4822 b=14.6518 c=12.0235 alpha=90.00 beta=90.00 gamma=90.00
Space group Cmcm (No. 63)
Unique sites:
1 Ba 0.0000 0.2470 0.2500
2 Zn 0.0000 0.4610 0.7500
3 Hg 0.0000 0.0000 0.0000
4 Te 0.0000 0.0679 0.7500
5 Te 0.0000 0.3632 0.5614

Largest 6 diffraction maxima, in order of rising 2θ, 2θ = 10–90°:
Position (°2θ)  intensity  (hkl)
25.34  47  0 2 3
27.00  66  1 3 0
28.02  100  1 3 1
29.72  50  0 0 4
30.89  90  1 3 2
40.24  47  2 0 0

***

[6]
The following is a simulated powder XRD pattern of ReNi12. It was derived from a DFT-relaxed cell (GGA-PBE, OQMD), using Cu Kα.

Structure:
Unit cell a=4.5801 b=4.5801 c=24.5934 alpha=90.00 beta=90.00 gamma=120.00
Space group R-3m (No. 166, hexagonal axes)
Unique sites:
1 Re 0.0000 0.0000 0.0000
2 Ni 0.0000 0.0000 0.1653
3 Ni 0.0000 0.0000 0.3489
4 Ni 0.0000 0.0000 0.4539
5 Ni 0.0043 0.5022 0.4133

Largest 6 diffraction maxima, in order of rising 2θ, 2θ = 10–90°:
Position (°2θ)  intensity  (hkl)
22.71  27  1 0 1
39.34  53  1 1 0
45.36  100  1 1 6
46.63  51  0 1 11
49.56  46  2 0 5
53.02  27  0 2 7

***

[7]
The following is a simulated powder XRD pattern of Cu2SeF2. It was derived from a DFT-relaxed cell (GGA-PBE, OQMD), using Cu Kα.

Structure:
Unit cell a=5.3285 b=9.8801 c=5.3103 alpha=90.00 beta=90.00 gamma=90.00
Space group Ibam (No. 72)
Unique sites:
1 Cu 0.2345 0.1322 0.0000
2 Se 0.0000 0.5000 0.2500
3 F 0.1187 0.1745 0.5000

Largest 6 diffraction maxima, in order of rising 2θ, 2θ = 10–90°:
Position (°2θ)  intensity  (hkl)
18.92  38  1 1 0
29.86  100  1 2 1
31.95  45  1 3 0
38.98  38  1 1 2
48.40  43  2 0 2
50.42  81  0 4 2

***

[8]
The following is a simulated powder XRD pattern of SnPdSO. It was derived from a DFT-relaxed cell (GGA-PBE, OQMD), using Cu Kα.

Structure:
Unit cell a=6.3808 b=11.4489 c=7.5660 alpha=90.00 beta=90.00 gamma=90.00
Space group Pbca (No. 61)
Unique sites:
1 Sn 0.1411 0.2071 0.1032
2 Pd 0.2158 0.0083 0.9376
3 S 0.0807 0.0715 0.6687
4 O 0.1909 0.6847 0.3425

Largest 6 diffraction maxima, in order of rising 2θ, 2θ = 10–90°:
Position (°2θ)  intensity  (hkl)
28.52  55  1 1 2
29.06  49  2 1 0
31.25  35  0 4 0
31.63  100  1 2 2
33.47  32  0 4 1
52.97  34  1 2 4

***

[9]
The following is a simulated powder XRD pattern of NdMg4AlAu2. It was derived from a DFT-relaxed cell (GGA-PBE, OQMD), using Cu Kα.

Structure:
Unit cell a=6.2918 b=5.5916 c=15.2025 alpha=90.00 beta=90.00 gamma=90.00
Space group Amm2 (No. 38)
Unique sites:
1 Nd 0.0000 0.0000 0.0000
2 Mg 0.2512 0.0000 0.2232
3 Mg 0.2725 0.0000 0.6596
4 Al 0.0000 0.0000 0.5257
5 Au 0.0000 0.0000 0.3640
6 Au 0.0000 0.0000 0.7971

Largest 6 diffraction maxima, in order of rising 2θ, 2θ = 10–90°:
Position (°2θ)  intensity  (hkl)
11.64  28  0 0 2
14.08  100  1 0 0
18.30  32  1 0 2
32.01  21  0 2 0
35.12  23  1 2 0
36.55  28  1 1 5

***

[10]
The following is a simulated powder XRD pattern of DySnPdPt. It was derived from a DFT-relaxed cell (GGA-PBE, OQMD), using Cu Kα.

Structure:
Unit cell a=4.5712 b=4.5712 c=9.0454 alpha=90.00 beta=90.00 gamma=120.00
Space group P-3m1 (No. 164)
Unique sites:
1 Dy 0.3333 0.6667 0.2541
2 Sn 0.0000 0.0000 0.0000
3 Sn 0.0000 0.0000 0.5000
4 Pd 0.3333 0.6667 0.9162
5 Pt 0.3333 0.6667 0.5922

Largest 6 diffraction maxima, in order of rising 2θ, 2θ = 10–90°:
Position (°2θ)  intensity  (hkl)
30.00  26  0 1 2
37.50  100  0 1 3
39.42  94  1 1 0
55.54  32  2 0 3
70.22  32  1 2 3
71.49  17  3 0 0